1.
The following is a computed powder XRD pattern of K2HgF12. It was derived from a DFT-relaxed cell (GGA-PBE, Alexandria), using λ = 1.5418 Å (Cu Kα).

Most intense lines, 2θ = 10–90°, in order of falling intensity:
3.091 Å, 2θ = 28.9°, intensity 100
3.527 Å, 2θ = 25.2°, intensity 84
2.457 Å, 2θ = 36.6°, intensity 76
7.177 Å, 2θ = 12.3°, intensity 71
3.898 Å, 2θ = 22.8°, intensity 69
2.026 Å, 2θ = 44.7°, intensity 65
4.785 Å, 2θ = 18.5°, intensity 64
1.836 Å, 2θ = 49.7°, intensity 54

Structure:
Lattice parameters (Å, degrees): 4.050 4.050 14.354 90.00 90.00 90.00
Fractional coordinates of all 15 atoms:
K  0.000  0.000  0.181
K  0.000  0.000  0.819
Hg  0.000  0.000  0.500
F  0.000  0.500  0.065
F  0.000  0.500  0.412
F  0.000  0.500  0.588
F  0.000  0.500  0.935
F  0.500  0.000  0.065
F  0.500  0.000  0.412
F  0.500  0.000  0.588
F  0.500  0.000  0.935
F  0.500  0.500  0.186
F  0.500  0.500  0.292
F  0.500  0.500  0.708
F  0.500  0.500  0.814


2.
The following is a computed powder XRD pattern of K2Hg3F10. It was derived from a DFT-relaxed cell (GGA-PBE, Alexandria), using λ = 1.5418 Å (Cu Kα).

Most intense lines, 2θ = 10–90°, in order of falling intensity:
3.966 Å, 2θ = 22.4°, intensity 100
6.467 Å, 2θ = 13.7°, intensity 90
3.353 Å, 2θ = 26.6°, intensity 76
3.453 Å, 2θ = 25.8°, intensity 68
3.132 Å, 2θ = 28.5°, intensity 53
3.503 Å, 2θ = 25.4°, intensity 49
3.581 Å, 2θ = 24.9°, intensity 46
1.990 Å, 2θ = 45.6°, intensity 43

Structure:
Lattice parameters (Å, degrees): 10.642 10.642 8.486 109.66 109.66 37.76
Fractional coordinates of all 30 atoms:
K  0.110  0.110  0.193
K  0.212  0.212  0.843
K  0.788  0.788  0.157
K  0.890  0.890  0.807
Hg  0.240  0.760  0.500
Hg  0.315  0.315  0.463
Hg  0.417  0.417  0.025
Hg  0.583  0.583  0.975
Hg  0.685  0.685  0.537
Hg  0.760  0.240  0.500
F  0.000  0.500  0.500
F  0.002  0.002  0.690
F  0.109  0.578  0.996
F  0.131  0.634  0.433
F  0.254  0.254  0.212
F  0.295  0.705  0.000
F  0.366  0.869  0.567
F  0.367  0.367  0.721
F  0.422  0.891  0.004
F  0.483  0.483  0.313
F  0.500  0.000  0.500
F  0.517  0.517  0.687
F  0.578  0.109  0.996
F  0.633  0.633  0.279
F  0.634  0.131  0.433
F  0.705  0.295  0.000
F  0.746  0.746  0.788
F  0.869  0.366  0.567
F  0.891  0.422  0.004
F  0.998  0.998  0.310


3.
The following is a computed powder XRD pattern of KHg3F8. It was derived from a DFT-relaxed cell (GGA-PBE, Alexandria), using λ = 1.5418 Å (Cu Kα).

Most intense lines, 2θ = 10–90°, in order of falling intensity:
4.311 Å, 2θ = 20.6°, intensity 100
3.472 Å, 2θ = 25.7°, intensity 53
3.002 Å, 2θ = 29.8°, intensity 49
2.987 Å, 2θ = 29.9°, intensity 44
1.905 Å, 2θ = 47.8°, intensity 43
2.704 Å, 2θ = 33.1°, intensity 36
1.892 Å, 2θ = 48.1°, intensity 35
5.074 Å, 2θ = 17.5°, intensity 31

Structure:
Lattice parameters (Å, degrees): 7.692 7.692 6.944 90.54 90.54 34.08
Fractional coordinates of all 12 atoms:
K  0.000  0.000  0.000
Hg  0.151  0.151  0.466
Hg  0.293  0.293  0.931
Hg  0.446  0.446  0.474
F  0.149  0.149  0.777
F  0.174  0.174  0.161
F  0.299  0.299  0.537
F  0.413  0.413  0.165
F  0.448  0.448  0.788
F  0.602  0.602  0.452
F  0.811  0.811  0.927
F  0.992  0.992  0.413


4.
The following is a computed powder XRD pattern of KHgF3. It was derived from a DFT-relaxed cell (GGA-PBE, Alexandria), using λ = 1.5418 Å (Cu Kα).

Most intense lines, 2θ = 10–90°, in order of falling intensity:
3.169 Å, 2θ = 28.2°, intensity 100
4.341 Å, 2θ = 20.5°, intensity 72
4.637 Å, 2θ = 19.1°, intensity 48
2.849 Å, 2θ = 31.4°, intensity 32
3.351 Å, 2θ = 26.6°, intensity 31
2.171 Å, 2θ = 41.6°, intensity 27
2.319 Å, 2θ = 38.8°, intensity 23
2.045 Å, 2θ = 44.3°, intensity 21

Structure:
Lattice parameters (Å, degrees): 8.150 8.150 5.698 90.00 90.00 110.65
Fractional coordinates of all 20 atoms:
K  0.091  0.909  0.751
K  0.409  0.591  0.251
K  0.591  0.409  0.749
K  0.909  0.091  0.249
Hg  0.112  0.388  0.750
Hg  0.388  0.112  0.250
Hg  0.612  0.888  0.750
Hg  0.888  0.612  0.250
F  0.050  0.450  0.250
F  0.116  0.884  0.255
F  0.246  0.246  0.000
F  0.254  0.254  0.500
F  0.384  0.616  0.755
F  0.450  0.050  0.750
F  0.550  0.950  0.250
F  0.616  0.384  0.245
F  0.746  0.746  0.500
F  0.754  0.754  0.000
F  0.884  0.116  0.745
F  0.950  0.550  0.750